Entry 1:
For MgGe2N2, a crystal structure in the Materials Project, relaxed with PBE gives the computed X-ray diffraction stick pattern in this record (CuKα).
No peak broadening, texture or thermal motion is included.

Cell and atoms:
a b c (Å): 3.0457 3.0457 8.8369
angles (deg): 90.00 90.00 120.00
Fractional positions:
Mg1 0.0000 0.0000 0.0000
Ge1 0.3333 0.6667 0.7155
Ge2 0.6667 0.3333 0.2845
N1 0.3333 0.6667 0.1546
N2 0.6667 0.3333 0.8454

The 8 most intense peaks (2θ = 10–80°), low angle first:
two_theta, d_spacing, Rel. int.
20.10, 4.418, 81.7
35.52, 2.527, 100.0
39.80, 2.265, 87.4
46.20, 1.965, 43.4
54.15, 1.694, 29.2
60.83, 1.523, 30.6
63.35, 1.468, 20.0
64.75, 1.440, 18.5

***

Entry 2:
For AsAuO3, a crystal structure in the Materials Project, relaxed with PBE gives the computed X-ray diffraction stick pattern in this record (CuKα).
No peak broadening, texture or thermal motion is included.

Cell and atoms:
a b c (Å): 8.3606 8.3606 5.1715
angles (deg): 101.65 101.65 80.96
Fractional positions:
As1 0.1269 0.2971 0.1619
As2 0.2971 0.1269 0.6619
As3 0.7029 0.8731 0.3381
As4 0.8731 0.7029 0.8381
Au1 0.2261 0.7739 0.7500
Au2 0.4144 0.5856 0.2500
Au3 0.5856 0.4144 0.7500
Au4 0.7739 0.2261 0.2500
O1 0.0701 0.6219 0.8115
O2 0.1179 0.1926 0.8207
O3 0.1926 0.1179 0.3207
O4 0.2679 0.4244 0.3111
O5 0.3781 0.9299 0.6885
O6 0.4244 0.2679 0.8111
O7 0.5756 0.7321 0.1889
O8 0.6219 0.0701 0.3115
O9 0.7321 0.5756 0.6889
O10 0.8074 0.8821 0.6793
O11 0.8821 0.8074 0.1793
O12 0.9299 0.3781 0.1885

The 8 most intense peaks (2θ = 10–80°), low angle first:
two_theta, d_spacing, Rel. int.
10.89, 8.128, 43.5
14.45, 6.131, 50.7
23.25, 3.825, 45.0
24.24, 3.672, 100.0
29.13, 3.066, 37.9
30.25, 2.954, 86.7
34.24, 2.619, 37.9
40.60, 2.222, 39.3

***

Entry 3:
For Ba3B6H2O13, a crystal structure in the Materials Project, relaxed with PBE gives the computed X-ray diffraction stick pattern in this record (CuKα).
No peak broadening, texture or thermal motion is included.

Cell and atoms:
a b c (Å): 7.0375 7.1064 11.4942
angles (deg): 90.00 90.96 90.00
Fractional positions:
Ba1 0.0000 0.1493 0.0000
Ba2 0.0000 0.8507 0.5000
Ba3 0.3064 0.2470 0.6756
Ba4 0.3064 0.7530 0.1756
Ba5 0.6224 0.2332 0.2923
Ba6 0.6224 0.7668 0.7923
B1 0.1691 0.2573 0.2922
B2 0.1691 0.7427 0.7922
B3 0.3133 0.4971 0.9324
B4 0.3133 0.5029 0.4324
B5 0.4962 0.1896 0.9731
B6 0.4962 0.8104 0.4731
B7 0.6548 0.4990 0.0310
B8 0.6548 0.5010 0.5310
B9 0.8138 0.2570 0.6633
B10 0.8138 0.7430 0.1633
B11 0.9803 0.3524 0.4732
B12 0.9803 0.6476 0.9732
H1 0.6313 0.0588 0.5888
H2 0.6313 0.9412 0.0888
H3 0.8854 0.3872 0.8151
H4 0.8854 0.6128 0.3151
O1 0.0188 0.2280 0.3688
O2 0.0188 0.7720 0.8688
O3 0.1430 0.4773 0.5016
O4 0.1430 0.5227 0.0016
O5 0.2086 0.1386 0.2044
O6 0.2086 0.8614 0.7044
O7 0.2843 0.4191 0.3125
O8 0.2843 0.5809 0.8125
O9 0.3492 0.2897 0.9151
O10 0.3492 0.7103 0.4151
O11 0.4773 0.4138 0.4883
O12 0.4773 0.5862 0.9883
O13 0.5085 0.0013 0.9649
O14 0.5085 0.9987 0.4649
O15 0.6304 0.2896 0.0406
O16 0.6304 0.7104 0.5406
O17 0.6838 0.0881 0.6693
O18 0.6838 0.9119 0.1693
O19 0.7052 0.4322 0.6477
O20 0.7052 0.5678 0.1477
O21 0.8102 0.4663 0.4466
O22 0.8102 0.5337 0.9466
O23 0.9234 0.2707 0.7757
O24 0.9234 0.7293 0.2757
O25 0.9488 0.2196 0.5689
O26 0.9488 0.7804 0.0689

The 8 most intense peaks (2θ = 10–80°), low angle first:
two_theta, d_spacing, Rel. int.
19.44, 4.565, 96.7
19.78, 4.487, 53.5
25.06, 3.553, 39.0
26.43, 3.372, 100.0
29.26, 3.052, 92.3
29.54, 3.024, 52.0
30.00, 2.978, 37.2
32.13, 2.786, 34.3

***

Entry 4:
For FeC8N6, a crystal structure in the Materials Project, relaxed with PBE gives the computed X-ray diffraction stick pattern in this record (CuKα).
No peak broadening, texture or thermal motion is included.

Cell and atoms:
a b c (Å): 7.1181 5.1213 10.0042
angles (deg): 90.00 90.00 90.00
Fractional positions:
Fe1 0.0000 0.0000 0.0000
Fe2 0.5000 0.0000 0.5000
C1 0.0000 0.3782 0.2415
C2 0.0000 0.4234 0.6611
C3 0.0000 0.5766 0.3389
C4 0.0000 0.6218 0.7585
C5 0.1662 0.3076 0.6146
C6 0.1662 0.6924 0.3854
C7 0.3338 0.3076 0.8854
C8 0.3338 0.6924 0.1146
C9 0.5000 0.3782 0.2585
C10 0.5000 0.4234 0.8389
C11 0.5000 0.5766 0.1611
C12 0.5000 0.6218 0.7415
C13 0.6662 0.3076 0.8854
C14 0.6662 0.6924 0.1146
C15 0.8338 0.3076 0.6146
C16 0.8338 0.6924 0.3854
N1 0.0000 0.2185 0.1575
N2 0.0000 0.7815 0.8425
N3 0.1993 0.2045 0.9272
N4 0.1993 0.7955 0.0728
N5 0.3007 0.2045 0.5728
N6 0.3007 0.7955 0.4272
N7 0.5000 0.2185 0.3425
N8 0.5000 0.7815 0.6575
N9 0.6993 0.2045 0.5728
N10 0.6993 0.7955 0.4272
N11 0.8007 0.2045 0.9272
N12 0.8007 0.7955 0.0728

The 8 most intense peaks (2θ = 10–80°), low angle first:
two_theta, d_spacing, Rel. int.
15.28, 5.800, 73.2
17.73, 5.002, 20.2
23.17, 3.839, 100.0
24.88, 3.578, 49.1
27.91, 3.197, 17.7
31.90, 2.805, 23.4
32.03, 2.795, 29.0
35.58, 2.523, 24.6

***

Entry 5:
For K2Ag, a crystal structure in the Materials Project, relaxed with PBE gives the computed X-ray diffraction stick pattern in this record (CuKα).
No peak broadening, texture or thermal motion is included.

Cell and atoms:
a b c (Å): 5.9930 5.9930 3.9159
angles (deg): 90.00 90.00 120.00
Fractional positions:
K1 0.3333 0.6667 0.0000
K2 0.6667 0.3333 0.0000
Ag1 0.0000 0.0000 0.5000

The 8 most intense peaks (2θ = 10–80°), low angle first:
two_theta, d_spacing, Rel. int.
17.08, 5.190, 35.3
28.56, 3.126, 100.0
29.82, 2.996, 71.7
41.76, 2.163, 34.1
52.15, 1.754, 34.0
52.93, 1.730, 12.8
56.11, 1.639, 21.1
69.58, 1.351, 13.5

***

Entry 6:
For Cu3SnP4O16, a crystal structure in the Materials Project, relaxed with PBE gives the computed X-ray diffraction stick pattern in this record (CuKα).
No peak broadening, texture or thermal motion is included.

Cell and atoms:
a b c (Å): 5.1353 6.0651 9.9862
angles (deg): 90.00 92.37 90.00
Fractional positions:
Cu1 0.0000 0.0000 0.0000
Cu2 0.2246 0.0000 0.5012
Cu3 0.4997 0.5000 0.8869
Sn1 0.8257 0.5000 0.4019
P1 0.2926 0.5000 0.5911
P2 0.4325 0.0000 0.8037
P3 0.7913 0.0000 0.2889
P4 0.9614 0.5000 0.0800
O1 0.0317 0.5000 0.2343
O2 0.0859 0.0000 0.3254
O3 0.0963 0.3005 0.0147
O4 0.0963 0.6995 0.0147
O5 0.1281 0.3089 0.5179
O6 0.1281 0.6911 0.5179
O7 0.1367 0.0000 0.8283
O8 0.2555 0.5000 0.7412
O9 0.4578 0.0000 0.6491
O10 0.5830 0.5000 0.5610
O11 0.5838 0.1986 0.8672
O12 0.5838 0.8014 0.8672
O13 0.6501 0.2042 0.3509
O14 0.6501 0.7958 0.3509
O15 0.6612 0.5000 0.0605
O16 0.7580 0.0000 0.1353

The 8 most intense peaks (2θ = 10–80°), low angle first:
two_theta, d_spacing, Rel. int.
17.78, 4.989, 66.8
19.12, 4.642, 63.1
19.78, 4.488, 43.9
24.37, 3.653, 36.0
24.68, 3.608, 33.4
29.45, 3.033, 100.0
35.76, 2.511, 32.3
35.97, 2.496, 22.8

***

Entry 7:
For EuTlAu2, a crystal structure in the Materials Project, relaxed with PBE gives the computed X-ray diffraction stick pattern in this record (CuKα).
No peak broadening, texture or thermal motion is included.

Cell and atoms:
a b c (Å): 5.2472 5.2472 5.2472
angles (deg): 60.00 60.00 60.00
Fractional positions:
Eu1 0.0000 0.0000 0.0000
Tl1 0.5000 0.5000 0.5000
Au1 0.2500 0.2500 0.2500
Au2 0.7500 0.7500 0.7500

The 6 most intense peaks (2θ = 10–80°), low angle first:
two_theta, d_spacing, Rel. int.
20.73, 4.284, 0.9
34.18, 2.624, 100.0
40.31, 2.237, 0.5
49.11, 1.855, 18.2
61.19, 1.515, 38.0
71.98, 1.312, 11.9